Record 1
Starting from a cell relaxed with PBE, the X-ray diffraction stick pattern of GdLuPt was calculated for a wavelength of 1.5418 Å.
Lines closer than 0.1° are merged.

Cell and atoms:
```
GdLuPt
1.0
6.8397 0.0000 0.0000
0.0000 6.8397 0.0000
0.0000 0.0000 6.8397
Gd Lu Pt
4 4 4
direct
0.0000 0.0000 0.0000
0.0000 0.5000 0.5000
0.5000 0.0000 0.5000
0.5000 0.5000 0.0000
0.0000 0.0000 0.5000
0.0000 0.5000 0.0000
0.5000 0.0000 0.0000
0.5000 0.5000 0.5000
0.2500 0.2500 0.2500
0.2500 0.7500 0.7500
0.7500 0.2500 0.7500
0.7500 0.7500 0.2500
```

Peak list (8 most intense, 10 to 80 degrees two-theta, low angle first)
Position (°2θ)  d_spacing  I (rel.)
22.52  3.949  32.7
26.06  3.420  8.8
37.18  2.418  100.0
43.90  2.062  17.3
53.60  1.710  17.6
58.85  1.569  7.4
67.03  1.396  36.1
79.23  1.209  11.4

Record 2
Starting from a cell relaxed with PBE, the X-ray diffraction stick pattern of Li3Cd2Au6 was calculated for a wavelength of 1.5418 Å.
Lines closer than 0.1° are merged.

Cell and atoms:
```
Li3Cd2Au6
1.0
-1.9207 1.9207 14.3626
1.9207 -1.9207 14.3626
1.9207 1.9207 -14.3626
Li Cd Au
3 2 6
direct
0.0000 0.0000 0.0000
0.1325 0.1325 0.0000
0.8675 0.8675 0.0000
0.3218 0.3218 0.0000
0.6782 0.6782 0.0000
0.0693 0.5693 0.5000
0.2206 0.2206 0.0000
0.4307 0.9307 0.5000
0.5693 0.0693 0.5000
0.7794 0.7794 0.0000
0.9307 0.4307 0.5000
```

Peak list (8 most intense, 10 to 80 degrees two-theta, low angle first)
Position (°2θ)  d_spacing  I (rel.)
18.53  4.788  41.0
24.80  3.591  42.0
33.58  2.669  100.0
36.60  2.455  26.3
38.09  2.363  35.9
41.69  2.166  19.0
47.33  1.921  38.3
54.15  1.694  20.2

Record 3
Starting from a cell relaxed with PBE, the X-ray diffraction stick pattern of KTaMo was calculated for a wavelength of 1.5418 Å.
Lines closer than 0.1° are merged.

Cell and atoms:
```
KTaMo
1.0
3.2854 0.0000 0.0000
0.0000 5.0558 0.0000
0.0000 0.0000 16.6006
K Ta Mo
4 4 4
direct
0.0000 0.0000 0.0000
0.0000 0.5000 0.5000
0.5000 0.0000 0.5000
0.5000 0.5000 0.0000
0.0000 0.0000 0.3032
0.0000 0.5000 0.8032
0.5000 0.0000 0.8032
0.5000 0.5000 0.3032
0.0000 0.0000 0.6866
0.0000 0.5000 0.1866
0.5000 0.0000 0.1866
0.5000 0.5000 0.6866
```

Peak list (8 most intense, 10 to 80 degrees two-theta, low angle first)
Position (°2θ)  d_spacing  I (rel.)
10.66  8.300  100.0
32.36  2.767  11.6
35.51  2.528  20.5
36.43  2.466  63.2
37.18  2.418  10.8
42.65  2.120  25.7
50.80  1.797  12.2
64.37  1.447  11.6

Record 4
Starting from a cell relaxed with PBE, the X-ray diffraction stick pattern of NaMgBr3 was calculated for a wavelength of 1.5418 Å.
Lines closer than 0.1° are merged.

Cell and atoms:
```
NaMgBr3
1.0
7.1175 0.0000 0.0000
-3.5587 6.1639 0.0000
0.0000 0.0000 9.8301
Na Mg Br
2 2 6
direct
0.0000 0.0000 0.2092
0.0000 0.0000 0.7908
0.3333 0.6667 0.0000
0.6667 0.3333 0.0000
0.0000 0.3831 0.8398
0.0000 0.6169 0.1602
0.3831 0.0000 0.8398
0.3831 0.3831 0.1602
0.6169 0.0000 0.1602
0.6169 0.6169 0.8398
```

Peak list (8 most intense, 10 to 80 degrees two-theta, low angle first)
Position (°2θ)  d_spacing  I (rel.)
26.64  3.346  100.0
27.22  3.277  32.4
28.97  3.082  18.1
31.02  2.882  81.1
37.30  2.411  22.7
40.17  2.245  19.6
44.07  2.055  24.0
44.82  2.022  29.7

Record 5
Starting from a cell relaxed with PBE, the X-ray diffraction stick pattern of Li2TlInSn was calculated for a wavelength of 1.5418 Å.
Lines closer than 0.1° are merged.

Cell and atoms:
```
Li2TlInSn
1.0
3.2281 0.0000 0.0000
0.0000 6.0508 0.0000
0.0000 0.0000 11.9301
Li Tl In Sn
4 2 2 2
direct
0.2500 0.0069 0.1938
0.2500 0.4931 0.1938
0.7500 0.5069 0.8062
0.7500 0.9931 0.8062
0.2500 0.7500 0.9858
0.7500 0.2500 0.0142
0.2500 0.7500 0.6402
0.7500 0.2500 0.3598
0.2500 0.7500 0.3951
0.7500 0.2500 0.6049
```

Peak list (8 most intense, 10 to 80 degrees two-theta, low angle first)
Position (°2θ)  d_spacing  I (rel.)
14.85  5.965  58.2
22.36  3.977  67.9
29.53  3.025  56.0
31.41  2.848  100.0
34.91  2.570  33.0
37.35  2.408  40.8
38.89  2.316  69.6
49.86  1.829  32.8

Record 6
Starting from a cell relaxed with PBE, the X-ray diffraction stick pattern of Tb3Pm2Ge4 was calculated for a wavelength of 1.5418 Å.
Lines closer than 0.1° are merged.

Cell and atoms:
```
Tb3Pm2Ge4
1.0
8.0181 0.0000 0.0000
0.0000 7.8960 0.0000
-2.8371 0.0000 7.1576
Tb Pm Ge
6 4 8
direct
0.0000 0.0000 0.0000
0.0000 0.5000 0.5000
0.2618 0.1640 0.7689
0.2618 0.3360 0.2689
0.7382 0.6640 0.7311
0.7382 0.8360 0.2311
0.3019 0.6809 0.9346
0.3019 0.8191 0.4346
0.6981 0.1809 0.5654
0.6981 0.3191 0.0654
0.0074 0.6297 0.1283
0.0074 0.8703 0.6283
0.4122 0.0372 0.1702
0.4122 0.4628 0.6702
0.5878 0.5372 0.3298
0.5878 0.9628 0.8298
0.9926 0.1297 0.3717
0.9926 0.3703 0.8717
```

Peak list (8 most intense, 10 to 80 degrees two-theta, low angle first)
Position (°2θ)  d_spacing  I (rel.)
29.75  3.003  38.7
32.03  2.795  100.0
32.61  2.746  54.7
33.05  2.710  59.8
33.50  2.675  90.9
36.16  2.484  40.0
36.37  2.470  47.8
36.86  2.438  92.8

Record 7
Starting from a cell relaxed with PBE, the X-ray diffraction stick pattern of Tl2FeTe was calculated for a wavelength of 1.5418 Å.
Lines closer than 0.1° are merged.

Cell and atoms:
```
Tl2FeTe
1.0
16.0191 0.0000 0.0000
0.0000 3.3479 0.0000
-1.0973 0.0000 4.0654
Tl Fe Te
4 2 2
direct
0.1741 0.0000 0.1740
0.3259 0.5000 0.8260
0.6741 0.5000 0.1740
0.8259 0.0000 0.8260
0.0000 0.5000 0.0000
0.5000 0.0000 0.0000
0.0000 0.0000 0.5000
0.5000 0.5000 0.5000
```

Peak list (8 most intense, 10 to 80 degrees two-theta, low angle first)
Position (°2θ)  d_spacing  I (rel.)
27.29  3.268  100.0
27.38  3.257  62.7
31.87  2.808  44.1
34.81  2.578  51.5
36.19  2.482  98.8
41.63  2.169  38.7
42.96  2.105  30.4
59.41  1.556  33.5

Record 8
Starting from a cell relaxed with PBE, the X-ray diffraction stick pattern of CaAg4Ge2 was calculated for a wavelength of 1.5418 Å.
Lines closer than 0.1° are merged.

Cell and atoms:
```
CaAg4Ge2
1.0
4.3432 0.0000 0.0000
0.0000 14.8071 0.0000
0.0000 0.0000 4.3699
Ca Ag Ge
2 8 4
direct
0.0000 0.0000 0.0000
0.5000 0.5000 0.0000
0.0000 0.1830 0.5000
0.0000 0.3175 0.0000
0.0000 0.6825 0.0000
0.0000 0.8170 0.5000
0.5000 0.1825 0.0000
0.5000 0.3170 0.5000
0.5000 0.6830 0.5000
0.5000 0.8175 0.0000
0.0000 0.4181 0.5000
0.0000 0.5819 0.5000
0.5000 0.0819 0.5000
0.5000 0.9181 0.5000
```

Peak list (8 most intense, 10 to 80 degrees two-theta, low angle first)
Position (°2θ)  d_spacing  I (rel.)
11.95  7.404  41.6
34.32  2.613  100.0
41.32  2.185  26.9
41.59  2.172  26.4
42.34  2.135  53.8
60.07  1.540  17.0
70.85  1.330  10.9
71.23  1.324  10.7

Record 9
Starting from a cell relaxed with PBE, the X-ray diffraction stick pattern of Nd4Sm8Dy3 was calculated for a wavelength of 1.5418 Å.
Lines closer than 0.1° are merged.

Cell and atoms:
```
Nd4Sm8Dy3
1.0
6.8107 -6.4505 0.0000
6.8107 6.4505 0.0000
-3.4431 0.0000 5.9365
Nd Sm Dy
4 8 3
direct
0.0000 0.0000 0.0000
0.0000 0.0000 0.5000
0.0000 0.5000 0.0000
0.5000 0.0000 0.0000
0.2552 0.7448 0.0000
0.2625 0.2625 0.5173
0.2729 0.2729 0.0520
0.3568 0.6432 0.5000
0.6432 0.3568 0.5000
0.7271 0.7271 0.9480
0.7375 0.7375 0.4827
0.7448 0.2552 0.0000
0.0000 0.5000 0.5000
0.5000 0.0000 0.5000
0.5000 0.5000 0.0000
```

Peak list (8 most intense, 10 to 80 degrees two-theta, low angle first)
Position (°2θ)  d_spacing  I (rel.)
27.66  3.225  35.9
30.14  2.965  100.0
30.34  2.946  47.9
31.59  2.832  27.7
38.42  2.343  11.8
41.36  2.183  46.9
41.52  2.175  22.4
66.00  1.415  19.0

Record 10
Starting from a cell relaxed with PBE, the X-ray diffraction stick pattern of Pm3SnSe2 was calculated for a wavelength of 1.5418 Å.
Lines closer than 0.1° are merged.

Cell and atoms:
```
Pm3SnSe2
1.0
13.6219 0.0000 0.0000
0.0000 6.1056 0.0000
-1.3643 0.0000 4.0904
Pm Sn Se
6 2 4
direct
0.0000 0.0000 0.0000
0.1720 0.5000 0.6736
0.3280 0.0000 0.3264
0.5000 0.5000 0.0000
0.6720 0.0000 0.6736
0.8280 0.5000 0.3264
0.0000 0.5000 0.0000
0.5000 0.0000 0.0000
0.1646 0.0000 0.6614
0.3354 0.5000 0.3386
0.6646 0.5000 0.6614
0.8354 0.0000 0.3386
```

Peak list (8 most intense, 10 to 80 degrees two-theta, low angle first)
Position (°2θ)  d_spacing  I (rel.)
25.30  3.521  9.4
29.29  3.049  100.0
41.90  2.156  75.5
51.94  1.760  26.9
60.79  1.524  8.3
68.84  1.364  28.9
76.50  1.245  17.3
76.59  1.244  8.3

Record 11
Starting from a cell relaxed with PBE, the X-ray diffraction stick pattern of KMg3AlGe3O10F2 was calculated for a wavelength of 1.5418 Å.
Lines closer than 0.1° are merged.

Cell and atoms:
```
KMg3AlGe3O10F2
1.0
5.4646 0.0000 0.0000
-2.7323 4.7358 0.0000
-0.8920 -1.5891 10.6090
K Mg Al Ge O F
1 3 1 3 10 2
direct
0.0000 0.0000 0.0000
0.1809 0.8397 0.5343
0.5018 0.5044 0.5338
0.8500 0.1834 0.5339
0.2655 0.5985 0.7942
0.4194 0.7534 0.2588
0.6010 0.2664 0.7991
0.7515 0.4191 0.2588
0.0635 0.6430 0.1929
0.2085 0.5423 0.6268
0.3693 0.9517 0.8557
0.4761 0.8087 0.4235
0.4845 0.4851 0.1921
0.5355 0.5357 0.8551
0.5448 0.2081 0.6287
0.6422 0.0639 0.1918
0.8045 0.4716 0.4235
0.9538 0.3698 0.8560
0.1454 0.1388 0.4357
0.8682 0.8673 0.6148
```

Peak list (8 most intense, 10 to 80 degrees two-theta, low angle first)
Position (°2θ)  d_spacing  I (rel.)
16.71  5.305  46.8
23.42  3.798  45.6
25.20  3.534  100.0
27.19  3.280  51.9
32.89  2.723  50.0
33.26  2.694  82.5
35.75  2.511  44.3
58.49  1.578  55.2

Record 12
Starting from a cell relaxed with PBE, the X-ray diffraction stick pattern of La4PmNd8 was calculated for a wavelength of 1.5418 Å.
Lines closer than 0.1° are merged.

Cell and atoms:
```
La4PmNd8
1.0
5.9656 3.4443 3.9422
-5.9656 3.4443 3.9422
0.0000 -6.8885 3.9422
La Pm Nd
4 1 8
direct
0.0000 0.0000 0.0000
0.0000 0.5000 0.5000
0.5000 0.0000 0.5000
0.5000 0.5000 0.0000
0.5000 0.5000 0.5000
0.1630 0.1630 0.6690
0.1630 0.6690 0.1630
0.2401 0.2401 0.2401
0.3310 0.8370 0.8370
0.6690 0.1630 0.1630
0.7599 0.7599 0.7599
0.8370 0.3310 0.8370
0.8370 0.8370 0.3310
```

Peak list (8 most intense, 10 to 80 degrees two-theta, low angle first)
Position (°2θ)  d_spacing  I (rel.)
22.55  3.942  29.3
27.11  3.289  18.1
29.96  2.983  100.0
37.82  2.379  45.9
53.19  1.722  19.9
55.91  1.644  16.7
58.48  1.578  12.8
62.25  1.491  12.3

- What is the formula in the third record?
  KTaMo